Entry 1:
Diffraction record for ScB4Au. The XRD peak list is theoretical, not measured: it uses a crystal structure in OQMD, relaxed with PBE and Cu Kα (λ = 1.5418 Å).
Kinematic intensities with the Lorentz-polarization factor, no thermal factor.

Structure:
```
data_ScB4Au
_cell_length_a 3.1533
_cell_length_b 3.1533
_cell_length_c 7.0219
_cell_angle_alpha 90.00
_cell_angle_beta 90.00
_cell_angle_gamma 120.00
_symmetry_space_group_name_H-M 'P 6/m m m'
_symmetry_Int_Tables_number 191
_symmetry_space_group_name_Hall '-P 6 2'
loop_
_atom_site_label
_atom_site_fract_x
_atom_site_fract_y
_atom_site_fract_z
Sc1 0.0000 0.0000 0.0000
B1 0.3333 0.6667 0.2356
Au1 0.0000 0.0000 0.5000
```

Main lines, most intense first (2θ = 10–90°):
(1 0 2), 41.9 deg, intensity 100; (0 0 1), 12.6 deg, intensity 93; (1 0 0), 32.8 deg, intensity 76; (1 0 1), 35.3 deg, intensity 59; (0 0 2), 25.4 deg, intensity 40; (1 0 4), 62.9 deg, intensity 24

=====

Entry 2:
Diffraction record for W4AuC3. The XRD peak list is theoretical, not measured: it uses a crystal structure in OQMD, relaxed with PBE and Cu Kα (λ = 1.5418 Å).
Kinematic intensities with the Lorentz-polarization factor, no thermal factor.

Structure:
```
data_W4AuC3
_cell_length_a 3.1321
_cell_length_b 3.1321
_cell_length_c 23.5527
_cell_angle_alpha 90.00
_cell_angle_beta 90.00
_cell_angle_gamma 120.00
_symmetry_space_group_name_H-M 'P 63/m m c'
_symmetry_Int_Tables_number 194
_symmetry_space_group_name_Hall '-P 6c 2c'
loop_
_atom_site_label
_atom_site_fract_x
_atom_site_fract_y
_atom_site_fract_z
W1 0.0000 0.0000 0.1523
W2 0.3333 0.6667 0.0571
Au1 0.3333 0.6667 0.2500
C1 0.0000 0.0000 0.0000
C2 0.3333 0.6667 0.6098
```

Main lines, most intense first (2θ = 10–90°):
(0 0 10), 38.3 deg, intensity 100; (1 0 6), 40.4 deg, intensity 66; (1 0 4), 36.5 deg, intensity 47; (1 1 10), 72.5 deg, intensity 43; (1 1 0), 59.0 deg, intensity 36; (1 0 1), 33.2 deg, intensity 30

=====

Entry 3:
Diffraction record for KAgSnSeS2. The XRD peak list is theoretical, not measured: it uses a crystal structure in OQMD, relaxed with PBE and Cu Kα (λ = 1.5418 Å).
Kinematic intensities with the Lorentz-polarization factor, no thermal factor.

Structure:
```
data_KAgSnSeS2
_cell_length_a 3.873
_cell_length_b 14.917
_cell_length_c 10.818
_cell_angle_alpha 90.00
_cell_angle_beta 90.00
_cell_angle_gamma 90.00
_symmetry_space_group_name_H-M 'C m c m'
_symmetry_Int_Tables_number 63
_symmetry_space_group_name_Hall '-C 2c 2'
loop_
_atom_site_label
_atom_site_fract_x
_atom_site_fract_y
_atom_site_fract_z
K1 0.000 0.235 0.250
Ag1 0.000 0.076 0.750
Sn1 0.000 0.500 0.000
Se1 0.000 0.443 0.750
S1 0.000 0.120 0.530
```

Main lines, most intense first (2θ = 10–90°):
(0 2 0), 11.9 deg, intensity 100; (1 3 1), 30.4 deg, intensity 54; (0 0 4), 33.1 deg, intensity 33; (0 8 2), 51.8 deg, intensity 26; (1 3 0), 29.2 deg, intensity 22; (0 6 2), 39.9 deg, intensity 21

=====

Entry 4:
Diffraction record for LaTbAg2Bi4. The XRD peak list is theoretical, not measured: it uses a crystal structure in OQMD, relaxed with PBE and Cu Kα (λ = 1.5418 Å).
Kinematic intensities with the Lorentz-polarization factor, no thermal factor.

Structure:
```
data_LaTbAg2Bi4
_cell_length_a 4.580
_cell_length_b 4.580
_cell_length_c 10.461
_cell_angle_alpha 90.00
_cell_angle_beta 90.00
_cell_angle_gamma 90.00
_symmetry_space_group_name_H-M 'P 4 m m'
_symmetry_Int_Tables_number 99
loop_
_symmetry_equiv_pos_as_xyz
'x,y,z'
'-y,x,z'
'-x,-y,z'
'y,-x,z'
'-x,y,z'
'y,x,z'
'x,-y,z'
'-y,-x,z'
loop_
_atom_site_label
_atom_site_fract_x
_atom_site_fract_y
_atom_site_fract_z
La1 0.000 0.000 0.000
Tb1 0.500 0.500 0.498
Ag1 0.000 0.500 0.744
Bi1 0.000 0.000 0.561
Bi2 0.000 0.500 0.254
Bi3 0.500 0.500 0.930
```

Main lines, most intense first (2θ = 10–90°):
(1 1 2), 32.5 deg, intensity 100; (2 0 0), 39.3 deg, intensity 37; (3 1 2), 67.0 deg, intensity 25; (2 0 4), 53.2 deg, intensity 14; (2 2 0), 56.9 deg, intensity 13; (0 0 4), 34.3 deg, intensity 12